Theoretical powder diffraction line list of CrSbF for CuKα, from a crystal structure in Alexandria, relaxed with PBE+U.
Intensities are scaled so that the largest is 100.

Crystal structure
```
data_CrSbF
_cell_length_a 14.3450
_cell_length_b 3.1744
_cell_length_c 5.9055
_cell_angle_alpha 90.00
_cell_angle_beta 90.00
_cell_angle_gamma 90.00
_space_group_name_H-M_alt 'A m m 2'
_space_group_IT_number 38
loop_
_space_group_symop_operation_xyz
'x,y,z'
'-x,-y,z'
'-x,y,z'
'x,-y,z'
'x,y+1/2,z+1/2'
'-x,-y+1/2,z+1/2'
'-x,y+1/2,z+1/2'
'x,-y+1/2,z+1/2'
loop_
_atom_site_label
_atom_site_type_symbol
_atom_site_fract_x
_atom_site_fract_y
_atom_site_fract_z
Cr1 Cr 0.0000 0.0000 0.0000
Cr2 Cr 0.5000 0.0000 0.4446
Sb1 Sb 0.3416 0.0000 0.1233
F1 F 0.0866 0.0000 0.4998
```

Top 12 peaks for 5 to 70 degrees two-theta, sorted by position:
hkl	2θ (°)	I (rel.)
1 0 0	6.2	100
3 0 0	18.6	57
0 0 2	30.3	19
0 1 1	32.0	28
1 1 1	32.6	13
2 0 2	32.8	15
3 0 2	35.7	29
3 1 1	37.3	69
6 0 0	37.6	15
4 0 2	39.5	13
6 1 1	50.2	21
6 1 3	68.4	9

***

Theoretical powder diffraction line list of CrSbF4 for CuKα, from a crystal structure in Alexandria, relaxed with PBE+U.
Intensities are scaled so that the largest is 100.

Crystal structure
```
data_CrSbF4
_cell_length_a 8.2050
_cell_length_b 4.0205
_cell_length_c 6.5603
_cell_angle_alpha 90.00
_cell_angle_beta 90.00
_cell_angle_gamma 90.00
_space_group_name_H-M_alt 'P m n 21'
_space_group_IT_number 31
loop_
_space_group_symop_operation_xyz
'x,y,z'
'-x+1/2,-y,z+1/2'
'-x,y,z'
'x+1/2,-y,z+1/2'
loop_
_atom_site_label
_atom_site_type_symbol
_atom_site_fract_x
_atom_site_fract_y
_atom_site_fract_z
Cr1 Cr 0.0000 0.1235 0.0000
Sb1 Sb 0.0000 0.8412 0.4244
F1 F 0.0000 0.1549 0.6636
F2 F 0.0000 0.6219 0.0154
F3 F 0.2420 0.1221 0.9857
```

Top 12 peaks for 5 to 70 degrees two-theta, sorted by position:
hkl	2θ (°)	I (rel.)
1 0 1	17.3	33
2 0 0	21.7	100
0 1 0	22.1	53
0 1 1	26.0	91
0 0 2	27.2	70
2 1 1	34.1	39
2 0 2	35.0	26
1 1 2	37.0	34
4 0 0	44.2	30
0 2 1	47.3	49
4 0 2	52.6	54
4 2 1	66.7	31

***

Theoretical powder diffraction line list of Sc2CrF8 for CuKα, from a crystal structure in Alexandria, relaxed with PBE+U.
Intensities are scaled so that the largest is 100.

Crystal structure
```
data_Sc2CrF8
_cell_length_a 8.6525
_cell_length_b 6.5768
_cell_length_c 5.2600
_cell_angle_alpha 90.00
_cell_angle_beta 102.72
_cell_angle_gamma 90.00
_space_group_name_H-M_alt 'C 1 2/m 1'
_space_group_IT_number 12
loop_
_space_group_symop_operation_xyz
'x,y,z'
'-x,-y,-z'
'-x,y,-z'
'x,-y,z'
'x+1/2,y+1/2,z'
'-x+1/2,-y+1/2,-z'
'-x+1/2,y+1/2,-z'
'x+1/2,-y+1/2,z'
loop_
_atom_site_label
_atom_site_type_symbol
_atom_site_fract_x
_atom_site_fract_y
_atom_site_fract_z
Sc1 Sc 0.1813 0.0000 0.4369
Cr1 Cr 0.0000 0.5000 0.0000
F1 F 0.0591 0.0000 0.7360
F2 F 0.1476 0.3075 0.3126
F3 F 0.1720 0.5000 0.8079
```

Top 12 peaks for 5 to 70 degrees two-theta, sorted by position:
hkl	2θ (°)	I (rel.)
1 1 -1	22.7	39
2 0 -1	24.2	87
1 1 1	26.0	100
0 2 0	27.1	82
2 2 1	41.1	56
3 1 -2	44.4	33
1 3 1	47.3	53
4 0 -2	49.5	24
5 1 -1	55.2	25
3 1 2	55.3	29
2 2 -3	60.7	28
5 3 -1	69.5	27

***

Theoretical powder diffraction line list of ScTlCrF6 for CuKα, from a crystal structure in Alexandria, relaxed with PBE+U.
Intensities are scaled so that the largest is 100.

Crystal structure
```
data_ScTlCrF6
_cell_length_a 5.8227
_cell_length_b 9.6694
_cell_length_c 5.9398
_cell_angle_alpha 90.00
_cell_angle_beta 91.24
_cell_angle_gamma 90.00
_space_group_name_H-M_alt 'C 1 2 1'
_space_group_IT_number 5
loop_
_space_group_symop_operation_xyz
'x,y,z'
'-x,y,-z'
'x+1/2,y+1/2,z'
'-x+1/2,y+1/2,-z'
loop_
_atom_site_label
_atom_site_type_symbol
_atom_site_fract_x
_atom_site_fract_y
_atom_site_fract_z
Sc1 Sc 0.0000 0.0000 0.0000
Tl1 Tl 0.0000 0.6697 0.5000
Cr1 Cr 0.0000 0.3350 0.0000
F1 F 0.1212 0.1705 0.1835
F2 F 0.1583 0.8686 0.2102
F3 F 0.1954 0.4808 0.1695
```

Top 12 peaks for 5 to 70 degrees two-theta, sorted by position:
hkl	2θ (°)	I (rel.)
1 1 0	17.8	45
1 1 -1	23.1	100
1 1 1	23.5	92
0 2 1	23.7	91
2 0 0	30.7	23
1 3 0	31.7	38
1 3 -1	35.1	21
0 2 2	35.5	28
2 2 -1	38.9	23
2 0 -2	43.0	22
1 3 -2	44.0	30
1 3 2	44.5	40

***

Theoretical powder diffraction line list of Cr4SiF2 for CuKα, from a crystal structure in Alexandria, relaxed with PBE+U.
Intensities are scaled so that the largest is 100.

Crystal structure
```
data_Cr4SiF2
_cell_length_a 4.9658
_cell_length_b 4.9658
_cell_length_c 11.5840
_cell_angle_alpha 90.00
_cell_angle_beta 90.00
_cell_angle_gamma 90.00
_space_group_name_H-M_alt 'I 4/m m m'
_space_group_IT_number 139
_space_group_name_Hall '-I 4 2'
loop_
_atom_site_label
_atom_site_type_symbol
_atom_site_fract_x
_atom_site_fract_y
_atom_site_fract_z
Cr1 Cr 0.0000 0.0000 0.2132
Cr2 Cr 0.0000 0.5000 0.0000
Si1 Si 0.0000 0.0000 0.0000
F1 F 0.0000 0.0000 0.3859
```

Top 12 peaks for 5 to 70 degrees two-theta, sorted by position:
hkl	2θ (°)	I (rel.)
0 0 2	15.3	10
1 1 0	25.4	13
1 1 2	29.8	100
0 0 4	30.9	21
2 0 0	36.2	80
1 0 5	43.1	31
2 0 4	48.3	22
2 2 0	52.1	25
1 1 6	54.2	7
2 1 5	57.5	23
3 1 2	61.1	21
2 2 4	61.8	10

***

Theoretical powder diffraction line list of Sr3CrF12 for CuKα, from a crystal structure in Alexandria, relaxed with PBE+U.
Intensities are scaled so that the largest is 100.

Crystal structure
```
data_Sr3CrF12
_cell_length_a 8.1307
_cell_length_b 13.9678
_cell_length_c 4.5745
_cell_angle_alpha 90.00
_cell_angle_beta 115.69
_cell_angle_gamma 90.00
_space_group_name_H-M_alt 'C 1 2/m 1'
_space_group_IT_number 12
loop_
_space_group_symop_operation_xyz
'x,y,z'
'-x,-y,-z'
'-x,y,-z'
'x,-y,z'
'x+1/2,y+1/2,z'
'-x+1/2,-y+1/2,-z'
'-x+1/2,y+1/2,-z'
'x+1/2,-y+1/2,z'
loop_
_atom_site_label
_atom_site_type_symbol
_atom_site_fract_x
_atom_site_fract_y
_atom_site_fract_z
Sr1 Sr 0.0000 0.0000 0.0000
Sr2 Sr 0.2500 0.2500 0.5000
Cr1 Cr 0.0000 0.5000 0.5000
F1 F 0.0765 0.1982 0.8368
F2 F 0.0838 0.4088 0.8126
F3 F 0.2316 0.0784 0.4893
```

Top 12 peaks for 5 to 70 degrees two-theta, sorted by position:
hkl	2θ (°)	I (rel.)
1 1 -1	20.6	56
0 0 1	21.6	25
2 0 -1	24.5	34
0 2 1	25.1	31
0 4 0	25.5	47
2 2 0	27.5	100
3 1 -1	34.2	28
2 4 -1	35.7	25
2 0 1	39.4	44
2 2 -2	41.9	35
2 6 0	46.2	39
2 6 -2	56.7	42

***

Theoretical powder diffraction line list of SrVCr2F8 for CuKα, from a crystal structure in Alexandria, relaxed with PBE+U.
Intensities are scaled so that the largest is 100.

Crystal structure
```
data_SrVCr2F8
_cell_length_a 7.2102
_cell_length_b 7.2102
_cell_length_c 7.3864
_cell_angle_alpha 90.00
_cell_angle_beta 90.00
_cell_angle_gamma 90.00
_space_group_name_H-M_alt 'I -4 m 2'
_space_group_IT_number 119
_space_group_name_Hall 'I -4 -2'
loop_
_atom_site_label
_atom_site_type_symbol
_atom_site_fract_x
_atom_site_fract_y
_atom_site_fract_z
Sr1 Sr 0.0000 0.0000 0.0000
V1 V 0.0000 0.5000 0.2500
Cr1 Cr 0.0000 0.0000 0.5000
Cr2 Cr 0.0000 0.5000 0.7500
F1 F 0.0000 0.2004 0.2954
F2 F 0.0000 0.3283 0.9552
```

Top 12 peaks for 5 to 70 degrees two-theta, sorted by position:
hkl	2θ (°)	I (rel.)
1 0 1	17.2	9
2 0 0	24.7	100
1 1 2	29.9	61
2 2 0	35.2	10
1 0 3	38.6	9
3 0 1	39.4	13
3 1 2	46.8	68
0 0 4	49.4	9
4 0 0	50.6	17
2 0 4	55.9	16
4 2 0	57.1	9
3 3 2	59.9	25

***

Theoretical powder diffraction line list of TbCrF5 for CuKα, from a crystal structure in Alexandria, relaxed with PBE+U.
Intensities are scaled so that the largest is 100.

Crystal structure
```
data_TbCrF5
_cell_length_a 5.7469
_cell_length_b 10.6234
_cell_length_c 8.5772
_cell_angle_alpha 90.00
_cell_angle_beta 105.56
_cell_angle_gamma 90.00
_space_group_name_H-M_alt 'P 1 21/c 1'
_space_group_IT_number 14
loop_
_space_group_symop_operation_xyz
'x,y,z'
'-x,-y,-z'
'-x,y+1/2,-z+1/2'
'x,-y+1/2,z+1/2'
loop_
_atom_site_label
_atom_site_type_symbol
_atom_site_fract_x
_atom_site_fract_y
_atom_site_fract_z
Tb1 Tb 0.0737 0.2412 0.3588
Cr1 Cr 0.4946 0.5031 0.7056
F1 F 0.1152 0.2034 0.6173
F2 F 0.2068 0.6023 0.2327
F3 F 0.2120 0.6199 0.6578
F4 F 0.3482 0.0992 0.3512
F5 F 0.3535 0.1077 0.9421
```

Top 12 peaks for 5 to 70 degrees two-theta, sorted by position:
hkl	2θ (°)	I (rel.)
1 0 0	16.0	19
0 2 0	16.7	23
1 1 0	18.1	24
0 1 2	23.1	70
1 2 0	23.2	100
1 1 -2	24.6	29
1 2 -2	28.7	20
0 4 0	33.8	14
1 3 2	39.7	18
2 3 0	41.4	17
2 4 -2	48.5	16
2 3 -4	54.4	15